1.
For CdBi2Au7, the GGA-PBE geometry in Alexandria gives the simulated powder XRD pattern in this record (CuKα).
Peak positions follow from Bragg's law for the DFT cell and can differ from measured ones.

```
data_CdBi2Au7
_space_group_name_H-M_alt 'P -4 m 2'
_space_group_IT_number 115
_cell_length_a 3.9713
_cell_length_b 3.9713
_cell_length_c 13.9479
_cell_angle_alpha 90.00
_cell_angle_beta 90.00
_cell_angle_gamma 90.00
loop_
_space_group_symop_operation_xyz
'x,y,z'
'y,-x,-z'
'-x,-y,z'
'-y,x,-z'
'-x,y,z'
'-y,-x,-z'
'x,-y,z'
'y,x,-z'
loop_
_atom_site_label
_atom_site_type_symbol
_atom_site_fract_x
_atom_site_fract_y
_atom_site_fract_z
Cd1 Cd 0.0000 0.0000 0.0000
Bi1 Bi 0.0000 0.5000 0.7454
Au1 Au 0.0000 0.0000 0.5000
Au2 Au 0.0000 0.5000 0.1514
Au3 Au 0.0000 0.5000 0.3505
Au4 Au 0.5000 0.5000 0.0000
Au5 Au 0.5000 0.5000 0.5000
```

Peak list (10 most intense, 2θ from 10° to 80°, by intensity)
| (hkl) | two_theta | d_spacing | I_rel |
| --- | --- | --- | --- |
| 1 1 2 | 34.43 | 2.605 | 100 |
| 1 0 5 | 39.48 | 2.283 | 53 |
| 2 0 0 | 45.69 | 1.986 | 45 |
| 1 0 3 | 29.58 | 3.020 | 34 |
| 2 1 5 | 61.94 | 1.498 | 29 |
| 1 1 4 | 41.28 | 2.187 | 28 |
| 3 1 2 | 77.18 | 1.236 | 20 |
| 1 1 10 | 76.21 | 1.249 | 20 |
| 2 2 0 | 66.60 | 1.404 | 15 |
| 2 1 3 | 55.38 | 1.659 | 12 |

---

2.
For Li2CdBiAu, the GGA-PBE geometry in Alexandria gives the simulated powder XRD pattern in this record (CuKα).
Peak positions follow from Bragg's law for the DFT cell and can differ from measured ones.

```
data_Li2CdBiAu
_space_group_name_H-M_alt 'P m m a'
_space_group_IT_number 51
_cell_length_a 5.7196
_cell_length_b 7.6563
_cell_length_c 5.0246
_cell_angle_alpha 90.00
_cell_angle_beta 90.00
_cell_angle_gamma 90.00
loop_
_space_group_symop_operation_xyz
'x,y,z'
'-x,-y,-z'
'-x+1/2,-y,z'
'x+1/2,y,-z'
'x+1/2,-y,-z'
'-x+1/2,y,z'
'-x,y,-z'
'x,-y,z'
loop_
_atom_site_label
_atom_site_type_symbol
_atom_site_fract_x
_atom_site_fract_y
_atom_site_fract_z
Li1 Li 0.2500 0.1913 0.1811
Cd1 Cd 0.0000 0.5000 0.5000
Bi1 Bi 0.2500 0.0000 0.6736
Au1 Au 0.2500 0.5000 0.9881
```

Peak list (10 most intense, 2θ from 10° to 80°, by intensity)
| (hkl) | two_theta | d_spacing | I_rel |
| --- | --- | --- | --- |
| 0 2 0 | 23.24 | 3.828 | 100 |
| 2 1 1 | 38.07 | 2.364 | 72 |
| 0 1 2 | 37.68 | 2.387 | 42 |
| 2 3 1 | 51.31 | 1.781 | 35 |
| 1 1 1 | 26.32 | 3.386 | 31 |
| 0 1 1 | 21.15 | 4.201 | 29 |
| 1 2 1 | 33.33 | 2.688 | 26 |
| 1 0 1 | 23.57 | 3.775 | 26 |
| 2 2 3 | 69.51 | 1.352 | 23 |
| 0 1 0 | 11.56 | 7.656 | 20 |

---

3.
For Cd2Bi2Pd7Au, the GGA-PBE geometry in Alexandria gives the simulated powder XRD pattern in this record (CuKα).
Peak positions follow from Bragg's law for the DFT cell and can differ from measured ones.

```
data_Cd2Bi2Pd7Au
_space_group_name_H-M_alt 'C 1 2/m 1'
_space_group_IT_number 12
_cell_length_a 5.4666
_cell_length_b 5.4668
_cell_length_c 16.0409
_cell_angle_alpha 90.00
_cell_angle_beta 99.74
_cell_angle_gamma 90.00
loop_
_space_group_symop_operation_xyz
'x,y,z'
'-x,-y,-z'
'-x,y,-z'
'x,-y,z'
'x+1/2,y+1/2,z'
'-x+1/2,-y+1/2,-z'
'-x+1/2,y+1/2,-z'
'x+1/2,-y+1/2,z'
loop_
_atom_site_label
_atom_site_type_symbol
_atom_site_fract_x
_atom_site_fract_y
_atom_site_fract_z
Cd1 Cd 0.1307 0.0000 0.2603
Bi1 Bi 0.1910 0.5000 0.3784
Pd1 Pd 0.0000 0.0000 0.0000
Pd2 Pd 0.1830 0.2499 0.8663
Pd3 Pd 0.2244 0.0000 0.4470
Au1 Au 0.0000 0.5000 0.0000
```

Peak list (10 most intense, 2θ from 10° to 80°, by intensity)
| (hkl) | two_theta | d_spacing | I_rel |
| --- | --- | --- | --- |
| 2 0 -4 | 37.05 | 2.426 | 100 |
| 1 1 -6 | 39.05 | 2.307 | 89 |
| 2 2 -1 | 47.01 | 1.933 | 88 |
| 1 1 2 | 27.03 | 3.298 | 62 |
| 2 0 4 | 43.78 | 2.068 | 53 |
| 0 2 0 | 32.76 | 2.733 | 51 |
| 2 0 0 | 33.26 | 2.693 | 45 |
| 3 1 -7 | 62.72 | 1.481 | 44 |
| 2 0 3 | 40.11 | 2.248 | 37 |
| 2 2 -9 | 67.82 | 1.382 | 29 |

---

4.
For PrCdBiAu, the GGA-PBE geometry in Alexandria gives the simulated powder XRD pattern in this record (CuKα).
Peak positions follow from Bragg's law for the DFT cell and can differ from measured ones.

```
data_PrCdBiAu
_space_group_name_H-M_alt 'F -4 3 m'
_space_group_IT_number 216
_space_group_name_Hall 'F -4 2 3'
_cell_length_a 7.5243
_cell_length_b 7.5243
_cell_length_c 7.5243
_cell_angle_alpha 90.00
_cell_angle_beta 90.00
_cell_angle_gamma 90.00
loop_
_atom_site_label
_atom_site_type_symbol
_atom_site_fract_x
_atom_site_fract_y
_atom_site_fract_z
Pr1 Pr 0.0000 0.0000 0.0000
Cd1 Cd 0.0000 0.0000 0.5000
Bi1 Bi 0.2500 0.2500 0.2500
Au1 Au 0.2500 0.2500 0.7500
```

Peak list (8 most intense, 2θ from 10° to 80°, by intensity)
| (hkl) | two_theta | d_spacing | I_rel |
| --- | --- | --- | --- |
| 2 2 0 | 33.69 | 2.660 | 100 |
| 4 2 2 | 60.26 | 1.536 | 38 |
| 4 0 0 | 48.39 | 1.881 | 18 |
| 4 4 0 | 70.84 | 1.330 | 12 |
| 2 0 0 | 23.65 | 3.762 | 6 |
| 4 2 0 | 54.54 | 1.682 | 3 |
| 2 2 2 | 41.58 | 2.172 | 2 |
| 6 0 0 | 75.87 | 1.254 | 2 |

---

5.
For RbCdBiAu3, the GGA-PBE geometry in Alexandria gives the simulated powder XRD pattern in this record (CuKα).
Peak positions follow from Bragg's law for the DFT cell and can differ from measured ones.

```
data_RbCdBiAu3
_space_group_name_H-M_alt 'C m c m'
_space_group_IT_number 63
_space_group_name_Hall '-C 2c 2'
_cell_length_a 7.2143
_cell_length_b 14.1704
_cell_length_c 7.5500
_cell_angle_alpha 90.00
_cell_angle_beta 90.00
_cell_angle_gamma 90.00
loop_
_atom_site_label
_atom_site_type_symbol
_atom_site_fract_x
_atom_site_fract_y
_atom_site_fract_z
Rb1 Rb 0.0000 0.2171 0.2500
Cd1 Cd 0.0000 0.1136 0.7500
Bi1 Bi 0.0000 0.4975 0.7500
Au1 Au 0.0000 0.3027 0.7500
Au2 Au 0.1928 0.0000 0.0000
```

Peak list (10 most intense, 2θ from 10° to 80°, by intensity)
| (hkl) | two_theta | d_spacing | I_rel |
| --- | --- | --- | --- |
| 2 0 2 | 34.39 | 2.608 | 100 |
| 0 2 0 | 12.49 | 7.085 | 94 |
| 0 4 0 | 25.14 | 3.543 | 48 |
| 1 5 2 | 41.78 | 2.162 | 47 |
| 1 1 2 | 27.40 | 3.255 | 40 |
| 0 2 2 | 26.76 | 3.332 | 39 |
| 1 1 1 | 18.12 | 4.895 | 37 |
| 2 2 0 | 27.78 | 3.211 | 37 |
| 2 4 2 | 43.07 | 2.100 | 33 |
| 3 5 0 | 49.72 | 1.834 | 27 |

---

6.
For Ce2Bi4Au, the GGA-PBE geometry in Alexandria gives the simulated powder XRD pattern in this record (CuKα).
Peak positions follow from Bragg's law for the DFT cell and can differ from measured ones.

```
data_Ce2Bi4Au
_space_group_name_H-M_alt 'P -4 m 2'
_space_group_IT_number 115
_cell_length_a 4.6375
_cell_length_b 4.6375
_cell_length_c 9.7127
_cell_angle_alpha 90.00
_cell_angle_beta 90.00
_cell_angle_gamma 90.00
loop_
_space_group_symop_operation_xyz
'x,y,z'
'y,-x,-z'
'-x,-y,z'
'-y,x,-z'
'-x,y,z'
'-y,-x,-z'
'x,-y,z'
'y,x,-z'
loop_
_atom_site_label
_atom_site_type_symbol
_atom_site_fract_x
_atom_site_fract_y
_atom_site_fract_z
Ce1 Ce 0.0000 0.5000 0.2302
Bi1 Bi 0.0000 0.0000 0.5000
Bi2 Bi 0.0000 0.5000 0.8232
Bi3 Bi 0.5000 0.5000 0.5000
Au1 Au 0.5000 0.5000 0.0000
```

Peak list (10 most intense, 2θ from 10° to 80°, by intensity)
| (hkl) | two_theta | d_spacing | I_rel |
| --- | --- | --- | --- |
| 1 1 2 | 32.96 | 2.718 | 100 |
| 2 0 0 | 38.84 | 2.319 | 43 |
| 3 1 2 | 66.61 | 1.404 | 27 |
| 1 1 1 | 28.73 | 3.107 | 21 |
| 0 0 3 | 27.55 | 3.238 | 16 |
| 2 2 0 | 56.09 | 1.640 | 15 |
| 2 0 3 | 48.28 | 1.885 | 14 |
| 1 0 2 | 26.58 | 3.354 | 14 |
| 1 0 1 | 21.23 | 4.185 | 11 |
| 2 0 4 | 54.74 | 1.677 | 10 |

---

7.
For CeBiAu4, the GGA-PBE geometry in Alexandria gives the simulated powder XRD pattern in this record (CuKα).
Peak positions follow from Bragg's law for the DFT cell and can differ from measured ones.

```
data_CeBiAu4
_space_group_name_H-M_alt 'P 6/m m m'
_space_group_IT_number 191
_space_group_name_Hall '-P 6 2'
_cell_length_a 4.9049
_cell_length_b 4.9049
_cell_length_c 6.4981
_cell_angle_alpha 90.00
_cell_angle_beta 90.00
_cell_angle_gamma 120.00
loop_
_atom_site_label
_atom_site_type_symbol
_atom_site_fract_x
_atom_site_fract_y
_atom_site_fract_z
Ce1 Ce 0.0000 0.0000 0.0000
Bi1 Bi 0.0000 0.0000 0.5000
Au1 Au 0.3333 0.6667 0.2420
```

Peak list (10 most intense, 2θ from 10° to 80°, by intensity)
| (hkl) | two_theta | d_spacing | I_rel |
| --- | --- | --- | --- |
| 1 1 0 | 36.64 | 2.452 | 100 |
| 1 0 2 | 34.76 | 2.581 | 97 |
| 2 1 2 | 64.77 | 1.439 | 33 |
| 2 0 2 | 51.40 | 1.778 | 33 |
| 1 1 4 | 69.39 | 1.354 | 31 |
| 3 0 0 | 65.98 | 1.416 | 18 |
| 1 1 2 | 46.39 | 1.957 | 16 |
| 2 2 0 | 77.91 | 1.226 | 12 |
| 0 0 4 | 56.67 | 1.624 | 11 |
| 0 0 2 | 27.45 | 3.249 | 11 |

---

8.
For CeBiAu4, the GGA-PBE geometry in Alexandria gives the simulated powder XRD pattern in this record (CuKα).
Peak positions follow from Bragg's law for the DFT cell and can differ from measured ones.

```
data_CeBiAu4
_space_group_name_H-M_alt 'F -4 3 m'
_space_group_IT_number 216
_space_group_name_Hall 'F -4 2 3'
_cell_length_a 8.1213
_cell_length_b 8.1213
_cell_length_c 8.1213
_cell_angle_alpha 90.00
_cell_angle_beta 90.00
_cell_angle_gamma 90.00
loop_
_atom_site_label
_atom_site_type_symbol
_atom_site_fract_x
_atom_site_fract_y
_atom_site_fract_z
Ce1 Ce 0.0000 0.0000 0.0000
Bi1 Bi 0.2500 0.2500 0.7500
Au1 Au 0.1252 0.1252 0.3748
```

Peak list (10 most intense, 2θ from 10° to 80°, by intensity)
| (hkl) | two_theta | d_spacing | I_rel |
| --- | --- | --- | --- |
| 3 1 1 | 36.70 | 2.449 | 100 |
| 2 2 2 | 38.40 | 2.344 | 45 |
| 5 1 1 | 59.11 | 1.563 | 34 |
| 4 4 0 | 64.96 | 1.436 | 30 |
| 2 2 0 | 31.15 | 2.871 | 22 |
| 6 2 2 | 78.05 | 1.224 | 18 |
| 5 3 3 | 76.99 | 1.238 | 12 |
| 1 1 1 | 18.93 | 4.689 | 10 |
| 4 2 2 | 55.43 | 1.658 | 9 |
| 4 0 0 | 44.63 | 2.030 | 7 |

---

9.
For CeMgBiAu, the GGA-PBE geometry in Alexandria gives the simulated powder XRD pattern in this record (CuKα).
Peak positions follow from Bragg's law for the DFT cell and can differ from measured ones.

```
data_CeMgBiAu
_space_group_name_H-M_alt 'F -4 3 m'
_space_group_IT_number 216
_space_group_name_Hall 'F -4 2 3'
_cell_length_a 7.4092
_cell_length_b 7.4092
_cell_length_c 7.4092
_cell_angle_alpha 90.00
_cell_angle_beta 90.00
_cell_angle_gamma 90.00
loop_
_atom_site_label
_atom_site_type_symbol
_atom_site_fract_x
_atom_site_fract_y
_atom_site_fract_z
Ce1 Ce 0.0000 0.0000 0.0000
Mg1 Mg 0.0000 0.0000 0.5000
Bi1 Bi 0.2500 0.2500 0.2500
Au1 Au 0.2500 0.2500 0.7500
```

Peak list (10 most intense, 2θ from 10° to 80°, by intensity)
| (hkl) | two_theta | d_spacing | I_rel |
| --- | --- | --- | --- |
| 2 2 0 | 34.23 | 2.620 | 100 |
| 4 2 2 | 61.29 | 1.512 | 38 |
| 2 0 0 | 24.02 | 3.705 | 21 |
| 4 0 0 | 49.19 | 1.852 | 18 |
| 4 4 0 | 72.11 | 1.310 | 12 |
| 4 2 0 | 55.46 | 1.657 | 9 |
| 1 1 1 | 20.77 | 4.278 | 9 |
| 2 2 2 | 42.25 | 2.139 | 7 |
| 3 1 1 | 40.37 | 2.234 | 5 |
| 6 0 0 | 77.26 | 1.235 | 5 |

---

10.
For BiAuCl, the GGA-PBE geometry in Alexandria gives the simulated powder XRD pattern in this record (CuKα).
Peak positions follow from Bragg's law for the DFT cell and can differ from measured ones.

```
data_BiAuCl
_space_group_name_H-M_alt 'P 1 21/c 1'
_space_group_IT_number 14
_cell_length_a 8.2351
_cell_length_b 5.5296
_cell_length_c 8.8401
_cell_angle_alpha 90.00
_cell_angle_beta 109.00
_cell_angle_gamma 90.00
loop_
_space_group_symop_operation_xyz
'x,y,z'
'-x,-y,-z'
'-x,y+1/2,-z+1/2'
'x,-y+1/2,z+1/2'
loop_
_atom_site_label
_atom_site_type_symbol
_atom_site_fract_x
_atom_site_fract_y
_atom_site_fract_z
Bi1 Bi 0.1508 0.0763 0.2002
Au1 Au 0.1293 0.6811 0.9837
Cl1 Cl 0.3783 0.0873 0.6325
```

Peak list (10 most intense, 2θ from 10° to 80°, by intensity)
| (hkl) | two_theta | d_spacing | I_rel |
| --- | --- | --- | --- |
| 1 0 0 | 11.36 | 7.786 | 100 |
| 1 1 -2 | 26.20 | 3.401 | 33 |
| 1 0 -2 | 20.56 | 4.320 | 26 |
| 2 1 -2 | 30.43 | 2.937 | 21 |
| 4 0 0 | 46.65 | 1.947 | 19 |
| 2 1 -1 | 27.19 | 3.279 | 18 |
| 1 1 -3 | 34.50 | 2.599 | 18 |
| 3 0 0 | 34.56 | 2.595 | 16 |
| 2 2 -1 | 39.39 | 2.288 | 15 |
| 2 1 1 | 32.66 | 2.742 | 15 |

---

11.
For K2BiAuCl6, the GGA-PBE geometry in Alexandria gives the simulated powder XRD pattern in this record (CuKα).
Peak positions follow from Bragg's law for the DFT cell and can differ from measured ones.

```
data_K2BiAuCl6
_space_group_name_H-M_alt 'F m -3 m'
_space_group_IT_number 225
_space_group_name_Hall '-F 4 2 3'
_cell_length_a 10.8135
_cell_length_b 10.8135
_cell_length_c 10.8135
_cell_angle_alpha 90.00
_cell_angle_beta 90.00
_cell_angle_gamma 90.00
loop_
_atom_site_label
_atom_site_type_symbol
_atom_site_fract_x
_atom_site_fract_y
_atom_site_fract_z
K1 K 0.2500 0.2500 0.2500
Bi1 Bi 0.0000 0.0000 0.0000
Au1 Au 0.0000 0.0000 0.5000
Cl1 Cl 0.0000 0.0000 0.2514
```

Peak list (10 most intense, 2θ from 10° to 80°, by intensity)
| (hkl) | two_theta | d_spacing | I_rel |
| --- | --- | --- | --- |
| 2 0 0 | 16.39 | 5.407 | 100 |
| 2 2 0 | 23.27 | 3.823 | 98 |
| 4 0 0 | 33.14 | 2.703 | 59 |
| 4 2 0 | 37.18 | 2.418 | 55 |
| 4 2 2 | 40.88 | 2.207 | 47 |
| 4 4 0 | 47.57 | 1.912 | 41 |
| 6 0 0 | 50.65 | 1.802 | 29 |
| 6 4 2 | 64.49 | 1.445 | 25 |
| 6 2 0 | 53.60 | 1.710 | 22 |
| 8 4 0 | 79.24 | 1.209 | 18 |

---

12.
For Cs2BiAu, the GGA-PBE geometry in Alexandria gives the simulated powder XRD pattern in this record (CuKα).
Peak positions follow from Bragg's law for the DFT cell and can differ from measured ones.

```
data_Cs2BiAu
_space_group_name_H-M_alt 'P 1 21/m 1'
_space_group_IT_number 11
_cell_length_a 6.8876
_cell_length_b 5.2243
_cell_length_c 11.0461
_cell_angle_alpha 90.00
_cell_angle_beta 97.74
_cell_angle_gamma 90.00
loop_
_space_group_symop_operation_xyz
'x,y,z'
'-x,-y,-z'
'-x,y+1/2,-z'
'x,-y+1/2,z'
loop_
_atom_site_label
_atom_site_type_symbol
_atom_site_fract_x
_atom_site_fract_y
_atom_site_fract_z
Cs1 Cs 0.2241 0.2500 0.4120
Cs2 Cs 0.2730 0.7500 0.0593
Bi1 Bi 0.1961 0.2500 0.7637
Au1 Au 0.3161 0.7500 0.7260
```

Peak list (10 most intense, 2θ from 10° to 80°, by intensity)
| (hkl) | two_theta | d_spacing | I_rel |
| --- | --- | --- | --- |
| 2 0 0 | 26.11 | 3.413 | 100 |
| 1 1 1 | 23.55 | 3.778 | 84 |
| 1 0 1 | 16.20 | 5.471 | 57 |
| 1 0 3 | 29.27 | 3.051 | 55 |
| 2 1 0 | 31.30 | 2.858 | 54 |
| 2 2 0 | 43.63 | 2.074 | 51 |
| 1 0 -1 | 14.34 | 6.177 | 50 |
| 2 1 -2 | 33.71 | 2.659 | 42 |
| 3 1 1 | 45.23 | 2.005 | 41 |
| 0 2 0 | 34.33 | 2.612 | 38 |

---

Copy entry 3 word for word.
For Cd2Bi2Pd7Au, the GGA-PBE geometry in Alexandria gives the simulated powder XRD pattern in this record (CuKα).
Peak positions follow from Bragg's law for the DFT cell and can differ from measured ones.

```
data_Cd2Bi2Pd7Au
_space_group_name_H-M_alt 'C 1 2/m 1'
_space_group_IT_number 12
_cell_length_a 5.4666
_cell_length_b 5.4668
_cell_length_c 16.0409
_cell_angle_alpha 90.00
_cell_angle_beta 99.74
_cell_angle_gamma 90.00
loop_
_space_group_symop_operation_xyz
'x,y,z'
'-x,-y,-z'
'-x,y,-z'
'x,-y,z'
'x+1/2,y+1/2,z'
'-x+1/2,-y+1/2,-z'
'-x+1/2,y+1/2,-z'
'x+1/2,-y+1/2,z'
loop_
_atom_site_label
_atom_site_type_symbol
_atom_site_fract_x
_atom_site_fract_y
_atom_site_fract_z
Cd1 Cd 0.1307 0.0000 0.2603
Bi1 Bi 0.1910 0.5000 0.3784
Pd1 Pd 0.0000 0.0000 0.0000
Pd2 Pd 0.1830 0.2499 0.8663
Pd3 Pd 0.2244 0.0000 0.4470
Au1 Au 0.0000 0.5000 0.0000
```

Peak list (10 most intense, 2θ from 10° to 80°, by intensity)
| (hkl) | two_theta | d_spacing | I_rel |
| --- | --- | --- | --- |
| 2 0 -4 | 37.05 | 2.426 | 100 |
| 1 1 -6 | 39.05 | 2.307 | 89 |
| 2 2 -1 | 47.01 | 1.933 | 88 |
| 1 1 2 | 27.03 | 3.298 | 62 |
| 2 0 4 | 43.78 | 2.068 | 53 |
| 0 2 0 | 32.76 | 2.733 | 51 |
| 2 0 0 | 33.26 | 2.693 | 45 |
| 3 1 -7 | 62.72 | 1.481 | 44 |
| 2 0 3 | 40.11 | 2.248 | 37 |
| 2 2 -9 | 67.82 | 1.382 | 29 |

---

Q: Number 4 is which compound?
A: PrCdBiAu